No. 1
The following is a simulated X-ray diffraction stick pattern of PrMnCu10. It was derived from DFT lattice parameters and positions (GGA-PBE), using Cu Kα.
No peak broadening, texture or thermal motion is included.

Top 10 peaks for 10° ≤ 2θ ≤ 90°, by intensity:
| two_theta | intensity |
| --- | --- |
| 39.00 | 100 |
| 43.93 | 72 |
| 45.33 | 53 |
| 42.46 | 44 |
| 43.55 | 36 |
| 35.70 | 33 |
| 69.31 | 19 |
| 66.89 | 19 |
| 49.41 | 18 |
| 34.38 | 17 |

a b c (Å): 8.248 8.248 4.971
angles (deg): 90.00 90.00 90.01
Fractional positions:
Pr 0.000 0.500 0.000
Pr 0.500 0.000 0.000
Mn 0.117 0.883 0.000
Mn 0.883 0.117 0.000
Cu 0.000 0.000 0.500
Cu 0.066 0.709 0.500
Cu 0.178 0.178 0.239
Cu 0.178 0.178 0.761
Cu 0.212 0.434 0.500
Cu 0.291 0.934 0.500
Cu 0.323 0.677 0.239
Cu 0.323 0.677 0.761
Cu 0.388 0.388 0.000
Cu 0.434 0.212 0.500
Cu 0.500 0.500 0.500
Cu 0.566 0.788 0.500
Cu 0.612 0.612 0.000
Cu 0.677 0.323 0.239
Cu 0.677 0.323 0.761
Cu 0.709 0.066 0.500
Cu 0.788 0.566 0.500
Cu 0.822 0.822 0.239
Cu 0.822 0.822 0.761
Cu 0.934 0.291 0.500

***

No. 2
The following is a simulated X-ray diffraction stick pattern of Mn2Cu2Pt3. It was derived from DFT lattice parameters and positions (GGA-PBE), using Cu Kα.
No peak broadening, texture or thermal motion is included.

Top 10 peaks for 10° ≤ 2θ ≤ 90°, by intensity:
| two_theta | intensity |
| --- | --- |
| 40.03 | 100 |
| 41.28 | 98 |
| 43.45 | 57 |
| 23.63 | 52 |
| 47.28 | 36 |
| 66.14 | 32 |
| 28.78 | 28 |
| 81.40 | 26 |
| 79.08 | 24 |
| 42.42 | 18 |

a b c (Å): 3.845 18.615 2.810
angles (deg): 90.00 90.00 90.00
Fractional positions:
Mn 0.000 0.076 0.000
Mn 0.000 0.924 0.000
Mn 0.500 0.424 0.000
Mn 0.500 0.576 0.000
Cu 0.000 0.214 0.000
Cu 0.000 0.786 0.000
Cu 0.500 0.286 0.000
Cu 0.500 0.714 0.000
Pt 0.000 0.349 0.500
Pt 0.000 0.500 0.500
Pt 0.000 0.651 0.500
Pt 0.500 0.000 0.500
Pt 0.500 0.151 0.500
Pt 0.500 0.849 0.500

***

No. 3
The following is a simulated X-ray diffraction stick pattern of MnCu23Pt6. It was derived from DFT lattice parameters and positions (GGA-PBE), using Cu Kα.
No peak broadening, texture or thermal motion is included.

Top 10 peaks for 10° ≤ 2θ ≤ 90°, by intensity:
| two_theta | intensity |
| --- | --- |
| 43.91 | 100 |
| 80.71 | 28 |
| 63.83 | 15 |
| 34.38 | 13 |
| 26.47 | 13 |
| 21.55 | 12 |
| 37.78 | 7 |
| 30.66 | 7 |
| 52.00 | 6 |
| 15.19 | 5 |

a b c (Å): 8.249 8.249 8.249
angles (deg): 60.00 60.00 60.00
Fractional positions:
Mn 0.000 0.000 0.000
Cu 0.000 0.000 0.500
Cu 0.000 0.500 0.000
Cu 0.000 0.500 0.500
Cu 0.110 0.630 0.630
Cu 0.139 0.139 0.139
Cu 0.139 0.139 0.584
Cu 0.139 0.584 0.139
Cu 0.370 0.370 0.370
Cu 0.370 0.370 0.890
Cu 0.370 0.890 0.370
Cu 0.416 0.861 0.861
Cu 0.500 0.000 0.000
Cu 0.500 0.000 0.500
Cu 0.500 0.500 0.000
Cu 0.500 0.500 0.500
Cu 0.584 0.139 0.139
Cu 0.630 0.110 0.630
Cu 0.630 0.630 0.110
Cu 0.630 0.630 0.630
Cu 0.861 0.416 0.861
Cu 0.861 0.861 0.416
Cu 0.861 0.861 0.861
Cu 0.890 0.370 0.370
Pt 0.245 0.245 0.755
Pt 0.245 0.755 0.245
Pt 0.245 0.755 0.755
Pt 0.755 0.245 0.245
Pt 0.755 0.245 0.755
Pt 0.755 0.755 0.245

***

No. 4
The following is a simulated X-ray diffraction stick pattern of MnCu3Pt7. It was derived from DFT lattice parameters and positions (GGA-PBE), using Cu Kα.
No peak broadening, texture or thermal motion is included.

Top 10 peaks for 10° ≤ 2θ ≤ 90°, by intensity:
| two_theta | intensity |
| --- | --- |
| 39.55 | 100 |
| 41.54 | 96 |
| 27.73 | 80 |
| 44.56 | 62 |
| 36.50 | 62 |
| 41.69 | 52 |
| 36.29 | 49 |
| 47.14 | 40 |
| 33.47 | 37 |
| 23.10 | 36 |

a b c (Å): 6.235 6.235 5.007
angles (deg): 106.67 106.67 93.92
Fractional positions:
Mn 0.000 0.000 0.000
Cu 0.275 0.725 0.500
Cu 0.500 0.500 0.000
Cu 0.725 0.275 0.500
Pt 0.000 0.000 0.500
Pt 0.085 0.570 0.819
Pt 0.308 0.308 0.457
Pt 0.430 0.915 0.181
Pt 0.570 0.085 0.819
Pt 0.692 0.692 0.543
Pt 0.915 0.430 0.181

***

No. 5
The following is a simulated X-ray diffraction stick pattern of Mn2Cu7Pt2. It was derived from DFT lattice parameters and positions (GGA-PBE), using Cu Kα.
No peak broadening, texture or thermal motion is included.

Top 10 peaks for 10° ≤ 2θ ≤ 90°, by intensity:
| two_theta | intensity |
| --- | --- |
| 42.39 | 100 |
| 17.90 | 25 |
| 25.72 | 22 |
| 41.95 | 17 |
| 31.77 | 16 |
| 46.72 | 16 |
| 45.90 | 14 |
| 46.14 | 14 |
| 45.73 | 11 |
| 82.51 | 10 |

a b c (Å): 5.125 5.125 6.160
angles (deg): 100.15 100.15 98.72
Fractional positions:
Mn 0.212 0.788 0.000
Mn 0.788 0.212 0.000
Cu 0.040 0.594 0.325
Cu 0.323 0.323 0.041
Cu 0.406 0.960 0.675
Cu 0.500 0.500 0.500
Cu 0.594 0.040 0.325
Cu 0.677 0.677 0.959
Cu 0.960 0.406 0.675
Pt 0.101 0.101 0.335
Pt 0.899 0.899 0.665

***

No. 6
The following is a simulated X-ray diffraction stick pattern of TiMnCuPt2. It was derived from DFT lattice parameters and positions (GGA-PBE), using Cu Kα.
No peak broadening, texture or thermal motion is included.

Top 10 peaks for 10° ≤ 2θ ≤ 90°, by intensity:
| two_theta | intensity |
| --- | --- |
| 35.21 | 100 |
| 39.64 | 64 |
| 21.25 | 61 |
| 60.13 | 37 |
| 45.41 | 35 |
| 69.07 | 28 |
| 43.29 | 25 |
| 27.74 | 23 |
| 57.31 | 21 |
| 74.45 | 19 |

a b c (Å): 4.547 4.547 4.180
angles (deg): 90.00 90.00 90.00
Fractional positions:
Ti 0.000 0.000 0.000
Mn 0.500 0.500 0.000
Cu 0.500 0.500 0.500
Pt 0.000 0.500 0.500
Pt 0.500 0.000 0.500